Structure and theoretical XRD peak list of Ho2V3Si4 (the PBE geometry in Alexandria; Cu Kα, 1.54184 Å).
No peak broadening, texture or thermal motion is included.

Top 8 peaks for 10 to 90 degrees two-theta, sorted by position:
2θ/deg	d/Å	intensity
19.0	4.673	65
30.8	2.907	31
35.0	2.566	54
35.2	2.550	52
37.7	2.385	100
38.0	2.367	99
42.3	2.135	54
42.7	2.118	37

Atomic structure:
```
18
Lattice="6.8088 0.0000 0.0000 0.0000 6.8047 0.0000 -2.2015 0.0000 6.3139" Properties=species:S:1:pos:R:3 pbc="T T T"
Ho 1.1383 1.1435 0.3843
Ho 0.0376 2.2588 3.5412
Ho 4.5698 4.5459 2.7726
Ho 3.4690 5.6611 5.9296
V 1.2164 4.5703 1.5684
V 0.1156 5.6367 4.7254
V 2.3037 0.0000 3.1569
V 3.4044 3.4023 0.0000
V 4.4917 1.1680 1.5885
V 3.3910 2.2343 4.7454
Si -1.3020 3.7057 5.5049
Si -0.2013 6.5013 2.3480
Si 1.4883 0.8772 5.4932
Si 2.5890 2.5252 2.3363
Si 2.0183 4.2795 3.9776
Si 3.1190 5.9275 0.8207
Si 4.8087 0.3034 3.9659
Si 5.9094 3.0989 0.8090
```

---

Structure and theoretical XRD peak list of YHoSi4 (the PBE geometry in Alexandria; Cu Kα, 1.54184 Å).
No peak broadening, texture or thermal motion is included.

Top 8 peaks for 10 to 90 degrees two-theta, sorted by position:
2θ/deg	d/Å	intensity
16.5	5.385	45
28.2	3.161	28
30.0	2.980	38
33.8	2.651	36
35.4	2.535	100
37.8	2.378	46
42.7	2.117	27
45.4	1.997	27

Atomic structure:
```
24
Lattice="8.8204 0.0000 0.0000 0.0000 13.5999 0.0000 0.0000 0.0000 4.2344" Properties=species:S:1:pos:R:3 pbc="T T T"
Y 0.4102 1.7982 0.0000
Y 4.0000 8.5981 0.0000
Y 4.8204 5.0018 0.0000
Y 8.4102 11.8017 0.0000
Ho 1.2941 5.6502 0.0000
Ho 3.1161 12.4502 0.0000
Ho 5.7043 1.1497 0.0000
Ho 7.5262 7.9497 0.0000
Si 0.3707 3.8644 2.1172
Si 0.8557 7.6616 2.1172
Si 1.2366 13.4863 2.1172
Si 1.6202 11.1079 2.1172
Si 2.7900 4.3080 2.1172
Si 3.1736 6.6864 2.1172
Si 3.5545 0.8617 2.1172
Si 4.0394 10.6643 2.1172
Si 4.7809 2.9356 2.1172
Si 5.2659 12.7382 2.1172
Si 5.6468 6.9135 2.1172
Si 6.0304 9.2919 2.1172
Si 7.2002 2.4920 2.1172
Si 7.5837 0.1136 2.1172
Si 7.9646 5.9383 2.1172
Si 8.4496 9.7355 2.1172
```

---

Structure and theoretical XRD peak list of YHoZnSi (the PBE geometry in Alexandria; Cu Kα, 1.54184 Å).
No peak broadening, texture or thermal motion is included.

Top 8 peaks for 10 to 90 degrees two-theta, sorted by position:
2θ/deg	d/Å	intensity
27.5	3.241	36
31.8	2.810	100
32.9	2.723	53
33.3	2.693	27
39.9	2.261	48
43.3	2.089	23
44.7	2.029	21
56.6	1.627	22

Atomic structure:
```
4
Lattice="4.0577 0.0000 0.0000 0.0000 2.0888 5.3863 0.0000 -2.0888 5.3863" Properties=species:S:1:pos:R:3 pbc="T T T"
Y 0.0000 0.0000 0.0000
Ho 2.0288 0.0000 3.0513
Zn 2.0288 0.0000 6.1609
Si 0.0000 0.0000 7.7201
```

---

Structure and theoretical XRD peak list of Ho5ZnSi2 (the PBE geometry in Alexandria; Cu Kα, 1.54184 Å).
No peak broadening, texture or thermal motion is included.

Top 8 peaks for 10 to 90 degrees two-theta, sorted by position:
2θ/deg	d/Å	intensity
27.5	3.242	48
30.5	2.933	31
32.9	2.719	100
35.0	2.562	65
38.2	2.355	60
53.1	1.726	23
54.4	1.687	26
58.7	1.572	28

Atomic structure:
```
16
Lattice="-3.7241 3.7241 7.0614 3.7241 -3.7241 7.0614 3.7241 3.7241 -7.0614" Properties=species:S:1:pos:R:3 pbc="T T T"
Ho 0.0000 0.0000 0.0000
Ho 5.0162 1.2921 -2.0082
Ho 1.2921 2.4319 -2.0082
Ho 5.0162 1.2921 2.0082
Ho 1.2921 2.4319 2.0082
Ho 0.0000 0.0000 7.0614
Ho 2.4319 1.2921 5.0533
Ho -1.2921 2.4319 5.0533
Ho 2.4319 1.2921 9.0696
Ho -1.2921 2.4319 9.0696
Zn 0.0000 0.0000 3.5307
Zn 0.0000 0.0000 10.5921
Si 2.8171 0.9069 0.0000
Si 2.8171 -0.9069 7.0614
Si 0.9069 4.6310 0.0000
Si 0.9069 2.8171 7.0614
```